Calculated powder diffractogram
Compound: TlCu2As2O8
Radiation: a wavelength of 1.5418 Å
Structure: a crystal structure in the Materials Project, relaxed with PBE
Intensities are scaled so that the largest is 100.

a b c (Å): 6.3919 11.2113 10.6020
angles (deg): 90.00 98.14 90.00
Space group P2_1/c (No. 14)
Symmetry-distinct sites (fractional):
Tl1 0.2306 0.0844 0.4774
Cu1 0.0895 0.5435 0.3420
Cu2 0.4429 0.1560 0.8223
As1 0.1322 0.7077 0.7633
As2 0.3823 0.1129 0.1235
O1 0.0703 0.1000 0.7439
O2 0.1030 0.7033 0.3967
O3 0.1139 0.6949 0.1402
O4 0.1711 0.0155 0.0975
O5 0.3680 0.1852 0.2651
O6 0.3716 0.6318 0.8025
O7 0.3908 0.2035 0.9941
O8 0.3985 0.5140 0.3558

Peak list (8 most intense, 10 to 80 degrees two-theta, most intense first)
two_theta, d (Å), Rel. int.
26.69, 3.340, 100
31.71, 2.822, 83
27.72, 3.218, 72
29.36, 3.042, 55
30.11, 2.968, 40
24.83, 3.586, 39
30.87, 2.897, 38
34.88, 2.572, 35


Calculated powder diffractogram
Compound: Tl2CuAsO4
Radiation: a wavelength of 1.5418 Å
Structure: a crystal structure in the Materials Project, relaxed with PBE
Intensities are scaled so that the largest is 100.

a b c (Å): 6.1670 5.4888 8.9466
angles (deg): 90.00 99.46 90.00
Space group P2_1 (No. 4)
Symmetry-distinct sites (fractional):
Tl1 0.2113 0.0000 0.1854
Tl2 0.2661 0.4886 0.5118
Cu1 0.3361 0.4251 0.9878
As1 0.2438 0.9992 0.7823
O1 0.1208 0.8382 0.9105
O2 0.1426 0.9186 0.5982
O3 0.1957 0.3152 0.7970
O4 0.4705 0.4669 0.1886

Peak list (8 most intense, 10 to 80 degrees two-theta, most intense first)
two_theta, d (Å), Rel. int.
28.12, 3.173, 100
31.48, 2.842, 51
29.37, 3.041, 47
25.06, 3.554, 42
32.63, 2.744, 42
44.47, 2.037, 32
49.13, 1.854, 27
30.39, 2.942, 26


Calculated powder diffractogram
Compound: Zn3Cu3As4O16
Radiation: a wavelength of 1.5418 Å
Structure: a crystal structure in the Materials Project, relaxed with PBE
Intensities are scaled so that the largest is 100.

a b c (Å): 8.7120 5.1277 15.6679
angles (deg): 90.00 111.87 90.00
Space group P2_1/c (No. 14)
Symmetry-distinct sites (fractional):
Zn1 0.0000 0.0000 0.0000
Zn2 0.2787 0.0217 0.2695
Cu1 0.2124 0.5050 0.3793
Cu2 0.5000 0.0000 0.5000
As1 0.0410 0.0077 0.6513
As2 0.4189 0.0056 0.1002
O1 0.0393 0.6726 0.6402
O2 0.0945 0.1744 0.5738
O3 0.1501 0.6087 0.8464
O4 0.1946 0.1000 0.7571
O5 0.2401 0.5659 0.5065
O6 0.4078 0.5966 0.7000
O7 0.4295 0.1921 0.9199
O8 0.4944 0.1785 0.6069

Peak list (8 most intense, 10 to 80 degrees two-theta, most intense first)
two_theta, d (Å), Rel. int.
30.30, 2.950, 100
36.07, 2.490, 85
26.94, 3.310, 80
35.00, 2.564, 75
33.52, 2.674, 61
35.50, 2.528, 35
18.35, 4.836, 33
29.00, 3.079, 31


Calculated powder diffractogram
Compound: Zn3Cu2As4O16
Radiation: a wavelength of 1.5418 Å
Structure: a crystal structure in the Materials Project, relaxed with PBE
Intensities are scaled so that the largest is 100.

a b c (Å): 5.4454 6.9787 9.4815
angles (deg): 80.12 80.16 68.51
Space group P1 (No. 1)
Symmetry-distinct sites (fractional):
Zn1 0.0000 0.0000 0.0000
Zn2 0.2447 0.3605 0.2809
Zn3 0.5043 0.9848 0.5116
Cu1 0.1233 0.6701 0.6482
Cu2 0.6298 0.6671 0.1430
As1 0.1028 0.8943 0.3275
As2 0.1573 0.4391 0.9597
As3 0.6114 0.8923 0.8281
As4 0.6610 0.4391 0.4702
O1 0.2811 0.0450 0.3489
O2 0.3161 0.6634 0.2586
O3 0.3177 0.5265 0.7982
O4 0.3747 0.0128 0.7142
O5 0.3883 0.3286 0.0787
O6 0.4258 0.8251 0.9907
O7 0.4348 0.6759 0.5288
O8 0.4798 0.2937 0.4395
O9 0.7764 0.0473 0.8481
O10 0.8178 0.6600 0.7581
O11 0.8253 0.5154 0.2993
O12 0.8731 0.0169 0.2118
O13 0.9074 0.3164 0.5706
O14 0.9246 0.8273 0.4910
O15 0.9406 0.6745 0.0319
O16 0.9823 0.2903 0.9462

Peak list (8 most intense, 10 to 80 degrees two-theta, most intense first)
two_theta, d (Å), Rel. int.
26.98, 3.305, 100
27.88, 3.200, 71
35.80, 2.508, 65
32.14, 2.785, 61
33.44, 2.680, 26
13.73, 6.448, 21
18.77, 4.727, 20
45.42, 1.997, 19


Calculated powder diffractogram
Compound: CuAsPbS3
Radiation: a wavelength of 1.5418 Å
Structure: a crystal structure in the Materials Project, relaxed with PBE
Intensities are scaled so that the largest is 100.

a b c (Å): 7.7042 8.1691 8.9074
angles (deg): 90.00 90.00 90.00
Space group Pmn2_1 (No. 31)
Symmetry-distinct sites (fractional):
Cu1 0.2385 0.2228 0.0000
As1 0.0000 0.0025 0.7283
As2 0.0000 0.5664 0.1498
Pb1 0.0000 0.0565 0.2628
Pb2 0.0000 0.4224 0.5729
S1 0.0000 0.2487 0.8515
S2 0.0000 0.7201 0.3697
S3 0.2246 0.0540 0.5647
S4 0.2271 0.3934 0.2087

Peak list (8 most intense, 10 to 80 degrees two-theta, most intense first)
two_theta, d (Å), Rel. int.
32.63, 2.744, 100
31.93, 2.803, 60
33.52, 2.673, 50
15.21, 5.827, 42
22.74, 3.910, 42
34.44, 2.604, 33
29.68, 3.010, 32
51.69, 1.768, 31


Calculated powder diffractogram
Compound: Tl3Cu4As8Pb3S20
Radiation: a wavelength of 1.5418 Å
Structure: a crystal structure in the Materials Project, relaxed with PBE
Intensities are scaled so that the largest is 100.

a b c (Å): 7.7774 9.4351 14.3893
angles (deg): 75.21 77.57 70.50
Space group P1 (No. 1)
Symmetry-distinct sites (fractional):
Tl1 0.0000 0.0000 0.0000
Tl2 0.1111 0.9664 0.3086
Tl3 0.7259 0.0645 0.6756
Cu1 0.0874 0.2998 0.4840
Cu2 0.1299 0.2337 0.6882
Cu3 0.5639 0.8172 0.9913
Cu4 0.6400 0.7387 0.1864
As1 0.0033 0.6177 0.6030
As2 0.2200 0.9150 0.5752
As3 0.3332 0.1642 0.8986
As4 0.3752 0.8799 0.7882
As5 0.4979 0.1331 0.1130
As6 0.7198 0.4344 0.0522
As7 0.8457 0.6635 0.3912
As8 0.8745 0.3806 0.2745
Pb1 0.0959 0.5715 0.8540
Pb2 0.2018 0.5183 0.1879
Pb3 0.5044 0.5255 0.4821
S1 0.0702 0.0150 0.7837
S2 0.1530 0.5199 0.3862
S3 0.3127 0.3319 0.7512
S4 0.3166 0.3193 0.0053
S5 0.3223 0.1248 0.5591
S6 0.3492 0.2151 0.2493
S7 0.3729 0.7240 0.9345
S8 0.3912 0.8389 0.4365
S9 0.3921 0.9209 0.1289
S10 0.3931 0.7214 0.6822
S11 0.5694 0.5243 0.2851
S12 0.6351 0.0313 0.8965
S13 0.8235 0.6383 0.0506
S14 0.8333 0.7113 0.7313
S15 0.8400 0.8157 0.4922
S16 0.8421 0.8170 0.2457
S17 0.8762 0.2328 0.1736
S18 0.8809 0.3561 0.9198
S19 0.8918 0.4145 0.6128
S20 0.8975 0.2177 0.4196

Peak list (8 most intense, 10 to 80 degrees two-theta, most intense first)
two_theta, d (Å), Rel. int.
27.00, 3.302, 100
25.93, 3.436, 96
29.55, 3.023, 73
31.51, 2.840, 72
21.38, 4.156, 49
20.40, 4.354, 40
34.52, 2.598, 39
26.39, 3.378, 36